No. 1
Theoretical X-ray powder pattern of Hf6Fe2Os for Cu Kα X-rays, from DFT lattice parameters and positions (PBE).
Peak positions follow from Bragg's law for the DFT cell and can differ from measured ones.

Structural model:
Unit cell a=8.652 b=8.745 c=8.838 alpha=90.00 beta=90.00 gamma=90.00
Space group Immm (No. 71)
One atom of each set of equivalent atoms:
Hf1 0.000 0.200 0.174
Hf2 0.185 0.231 0.500
Hf3 0.193 0.500 0.252
Fe1 0.000 0.000 0.383
Fe2 0.154 0.000 0.000
Os1 0.000 0.500 0.000
Os2 0.000 0.500 0.500

The 8 most intense peaks (10 to 90 degrees two-theta), in order of falling intensity:
| hkl | 2θ (°) | d/Å | intensity |
| --- | --- | --- | --- |
| 2 2 2 | 35.57 | 2.524 | 100 |
| 3 1 2 | 38.67 | 2.329 | 58 |
| 3 2 1 | 38.77 | 2.323 | 35 |
| 1 2 3 | 38.28 | 2.351 | 29 |
| 1 3 0 | 32.41 | 2.762 | 28 |
| 0 4 0 | 41.30 | 2.186 | 27 |
| 3 5 2 | 65.94 | 1.417 | 21 |
| 3 0 1 | 32.67 | 2.741 | 17 |

No. 2
Theoretical X-ray powder pattern of Hf4Fe3Os for Cu Kα X-rays, from DFT lattice parameters and positions (PBE).
Peak positions follow from Bragg's law for the DFT cell and can differ from measured ones.

Structural model:
Unit cell a=3.178 b=3.178 c=12.627 alpha=90.00 beta=90.00 gamma=90.00
Space group P4/mmm (No. 123)
One atom of each set of equivalent atoms:
Hf1 0.000 0.000 0.123
Hf2 0.000 0.000 0.369
Fe1 0.500 0.500 0.000
Fe2 0.500 0.500 0.246
Os1 0.500 0.500 0.500

The 8 most intense peaks (10 to 90 degrees two-theta), in order of falling intensity:
| hkl | 2θ (°) | d/Å | intensity |
| --- | --- | --- | --- |
| 1 0 4 | 40.26 | 2.240 | 100 |
| 1 1 0 | 40.12 | 2.247 | 51 |
| 2 1 4 | 73.00 | 1.296 | 34 |
| 2 0 0 | 58.04 | 1.589 | 17 |
| 1 1 8 | 73.29 | 1.292 | 16 |
| 1 0 0 | 28.07 | 3.178 | 13 |
| 2 0 8 | 87.00 | 1.120 | 11 |
| 0 0 8 | 58.48 | 1.578 | 8 |

Question: What is the formula in the second record?
Answer: Hf4Fe3Os